(1)
# HoTm3Sc7
Computed powder XRD pattern, Cu Kα X-rays. Input: a cell relaxed with GGA-PBE.
Lines closer than 0.1° are merged.

Crystal structure
```
HoTm3Sc7
1.0
5.9844 -5.1997 0.0000
5.9844 5.1997 0.0000
-2.4360 0.0000 4.8275
Ho Tm Sc
1 3 7
Cartesian
0.0000 0.0000 0.0000
4.7664 2.1807 2.4137
5.9844 0.0000 0.0000
4.7664 -2.1807 2.4137
-1.2180 0.0000 2.4137
1.5228 2.0141 3.8028
2.7849 0.0000 1.4142
1.5228 -2.0141 3.8028
8.0100 2.0141 1.0247
6.7479 0.0000 3.4133
8.0100 -2.0141 1.0247
```

Principal peaks in the range 2θ = 5–70°, by angle:
- 2θ 16.59, d = 5.343 Å, I = 52
- 2θ 25.18, d = 3.537 Å, I = 100
- 2θ 33.13, d = 2.704 Å, I = 44
- 2θ 33.55, d = 2.671 Å, I = 33
- 2θ 34.50, d = 2.600 Å, I = 18
- 2θ 34.75, d = 2.582 Å, I = 86
- 2θ 35.04, d = 2.561 Å, I = 39
- 2θ 47.87, d = 1.900 Å, I = 24
- 2θ 60.23, d = 1.536 Å, I = 17
- 2θ 66.09, d = 1.414 Å, I = 15



(2)
# Ho2Tm4Sc3
Computed powder XRD pattern, Cu Kα X-rays. Input: a cell relaxed with GGA-PBE.
Lines closer than 0.1° are merged.

Crystal structure
```
Ho2Tm4Sc3
1.0
6.5067 -6.4563 0.0000
6.5067 6.4563 0.0000
-0.4724 0.0000 6.1429
Ho Tm Sc
4 8 6
Cartesian
2.7455 0.7648 0.4344
2.5093 -0.7648 3.5059
10.0317 0.7648 2.6370
9.7955 -0.7648 5.7085
4.6705 4.0709 2.3588
4.7129 2.6039 5.4145
8.1067 4.0709 0.7127
7.5918 2.6039 3.7999
4.9491 -2.6039 2.3430
4.4343 -4.0709 5.4302
7.8281 -2.6039 0.7285
7.8705 -4.0709 3.7842
6.1524 5.9855 4.6072
5.1558 0.8554 2.5176
4.9196 -0.8554 5.5891
7.6214 0.8554 0.5539
7.3852 -0.8554 3.6253
6.3886 -5.9855 1.5357
```

Principal peaks in the range 2θ = 5–70°, by angle:
- 2θ 13.69, d = 6.469 Å, I = 21
- 2θ 27.50, d = 3.244 Å, I = 20
- 2θ 30.85, d = 2.898 Å, I = 57
- 2θ 31.28, d = 2.860 Å, I = 100
- 2θ 33.23, d = 2.696 Å, I = 98
- 2θ 33.82, d = 2.650 Å, I = 56
- 2θ 34.27, d = 2.617 Å, I = 32
- 2θ 34.75, d = 2.581 Å, I = 45
- 2θ 35.20, d = 2.550 Å, I = 22
- 2θ 52.95, d = 1.729 Å, I = 32



(3)
# Ho12Tm5Sc2
Computed powder XRD pattern, Cu Kα X-rays. Input: a cell relaxed with GGA-PBE.
Lines closer than 0.1° are merged.

Crystal structure
```
Ho12Tm5Sc2
1.0
7.7314 -4.5055 0.0000
7.7314 4.5055 0.0000
-0.1817 0.0000 8.3788
Ho Tm Sc
12 5 2
Cartesian
0.8249 0.0000 2.8149
5.7158 2.7469 2.7488
5.2423 1.6555 6.3710
9.5653 2.7469 5.6300
6.3585 0.0000 0.9469
10.0388 1.6555 2.0078
5.2423 -1.6555 6.3710
8.9227 0.0000 7.4319
5.7158 -2.7469 2.7488
10.0388 -1.6555 2.0078
9.5653 -2.7469 5.6300
14.4563 0.0000 5.5639
3.0592 0.0000 0.1182
4.0553 0.0000 3.5879
7.6406 0.0000 4.1894
11.2259 0.0000 4.7910
12.2219 0.0000 8.2607
7.7314 2.9655 0.0000
7.7314 -2.9655 0.0000
```

Principal peaks in the range 2θ = 5–70°, by angle:
- 2θ 29.11, d = 3.068 Å, I = 40
- 2θ 30.47, d = 2.933 Å, I = 32
- 2θ 31.19, d = 2.868 Å, I = 47
- 2θ 31.84, d = 2.810 Å, I = 45
- 2θ 32.12, d = 2.786 Å, I = 39
- 2θ 32.21, d = 2.779 Å, I = 100
- 2θ 32.51, d = 2.755 Å, I = 26
- 2θ 33.97, d = 2.639 Å, I = 57
- 2θ 36.35, d = 2.471 Å, I = 27
- 2θ 60.35, d = 1.534 Å, I = 23



(4)
# Ho2Tm12Sc
Computed powder XRD pattern, Cu Kα X-rays. Input: a cell relaxed with GGA-PBE.
Lines closer than 0.1° are merged.

Crystal structure
```
Ho2Tm12Sc
1.0
3.5113 0.0000 0.0000
0.0000 5.3769 0.0000
-0.3483 0.0000 24.1351
Ho Tm Sc
2 12 1
Cartesian
0.6897 0.0000 6.6972
2.4733 0.0000 17.4380
0.7034 0.0000 3.0921
0.4615 2.6885 22.6510
0.7021 2.6885 10.7559
0.7059 0.0000 13.9050
0.7151 2.6885 16.1223
0.7142 2.6885 19.3222
2.4488 2.6885 4.8129
2.4479 2.6885 8.0128
2.4571 0.0000 10.2301
2.4609 2.6885 13.3793
2.7015 2.6885 1.4841
2.4596 0.0000 21.0430
1.7556 0.0000 0.0000
```

Principal peaks in the range 2θ = 5–70°, by angle:
- 2θ 30.64, d = 2.918 Å, I = 71
- 2θ 30.81, d = 2.902 Å, I = 69
- 2θ 31.41, d = 2.848 Å, I = 38
- 2θ 33.33, d = 2.688 Å, I = 82
- 2θ 33.64, d = 2.664 Å, I = 30
- 2θ 33.75, d = 2.655 Å, I = 30
- 2θ 34.09, d = 2.630 Å, I = 100
- 2θ 48.08, d = 1.892 Å, I = 22
- 2θ 52.10, d = 1.755 Å, I = 21
- 2θ 63.27, d = 1.470 Å, I = 25



(5)
# Ho5Tm2Sc4
Computed powder XRD pattern, Cu Kα X-rays. Input: a cell relaxed with GGA-PBE.
Lines closer than 0.1° are merged.

Crystal structure
```
Ho5Tm2Sc4
1.0
8.6653 0.0000 0.0000
0.0000 3.4796 0.0000
-0.8322 0.0000 10.6474
Ho Tm Sc
5 2 4
Cartesian
0.0000 0.0000 0.0000
0.1430 0.0000 3.5639
2.3446 0.0000 9.2378
5.4885 0.0000 1.4096
7.6901 0.0000 7.0835
3.3788 0.0000 3.8778
4.4543 0.0000 6.7696
1.7296 1.7398 6.1237
2.4751 1.7398 1.3915
5.3580 1.7398 9.2559
6.1035 1.7398 4.5237
```

Principal peaks in the range 2θ = 5–70°, by angle:
- 2θ 25.59, d = 3.481 Å, I = 100
- 2θ 31.06, d = 2.880 Å, I = 28
- 2θ 31.35, d = 2.853 Å, I = 32
- 2θ 31.55, d = 2.836 Å, I = 30
- 2θ 32.01, d = 2.796 Å, I = 37
- 2θ 32.87, d = 2.725 Å, I = 53
- 2θ 33.06, d = 2.710 Å, I = 50
- 2θ 33.67, d = 2.662 Å, I = 28
- 2θ 34.50, d = 2.599 Å, I = 40
- 2θ 36.14, d = 2.485 Å, I = 30



(6)
# Ho5Tm8Sc
Computed powder XRD pattern, Cu Kα X-rays. Input: a cell relaxed with GGA-PBE.
Lines closer than 0.1° are merged.

Crystal structure
```
Ho5Tm8Sc
1.0
7.5276 -4.0846 0.0000
7.5276 4.0846 0.0000
-4.2240 0.0000 7.0806
Ho Tm Sc
5 8 1
Cartesian
0.0000 0.0000 0.0000
5.7836 1.3666 0.1906
5.0477 1.3666 6.8900
3.7240 -1.2259 5.1284
7.1073 -1.2259 1.9523
2.2913 2.0724 4.0267
-0.9088 0.4438 4.7933
3.7099 -0.4095 2.0294
8.5399 2.0724 3.0539
0.7614 -1.8901 6.5787
7.1214 -0.4095 5.0512
11.7401 0.4438 2.2873
10.0699 -1.8901 0.5020
5.4156 1.7719 3.5403
```

Principal peaks in the range 2θ = 5–70°, by angle:
- 2θ 25.42, d = 3.504 Å, I = 43
- 2θ 30.83, d = 2.900 Å, I = 57
- 2θ 31.29, d = 2.859 Å, I = 39
- 2θ 31.39, d = 2.850 Å, I = 74
- 2θ 31.79, d = 2.815 Å, I = 47
- 2θ 32.09, d = 2.789 Å, I = 83
- 2θ 32.38, d = 2.765 Å, I = 61
- 2θ 33.50, d = 2.675 Å, I = 39
- 2θ 33.64, d = 2.664 Å, I = 100
- 2θ 34.70, d = 2.585 Å, I = 33



(7)
# Ho12Tm5Sc
Computed powder XRD pattern, Cu Kα X-rays. Input: a cell relaxed with GGA-PBE.
Lines closer than 0.1° are merged.

Crystal structure
```
Ho12Tm5Sc
1.0
3.0431 -5.2719 0.0000
3.0431 5.2719 0.0000
-2.0249 0.0000 17.0032
Ho Tm Sc
12 5 1
Cartesian
1.0030 1.7432 2.7911
-0.0016 0.0000 5.6560
1.0203 1.7571 11.3587
-0.0087 0.0000 14.2108
1.0030 -1.7432 2.7911
3.0410 1.7571 5.6445
1.0203 -1.7571 11.3587
3.0583 1.7432 14.2121
4.0700 0.0000 2.7924
3.0410 -1.7571 5.6445
4.0629 0.0000 11.3472
3.0583 -1.7432 14.2121
2.0306 3.5123 8.5016
3.0431 1.7567 0.0000
2.0306 0.0000 8.5016
3.0431 -1.7567 0.0000
2.0306 -3.5123 8.5016
0.0000 0.0000 0.0000
```

Principal peaks in the range 2θ = 5–70°, by angle:
- 2θ 30.66, d = 2.916 Å, I = 100
- 2θ 31.57, d = 2.834 Å, I = 76
- 2θ 31.87, d = 2.808 Å, I = 25
- 2θ 32.60, d = 2.747 Å, I = 80
- 2θ 34.31, d = 2.614 Å, I = 79
- 2θ 35.27, d = 2.544 Å, I = 20
- 2θ 37.39, d = 2.405 Å, I = 54
- 2θ 50.95, d = 1.792 Å, I = 26
- 2θ 52.05, d = 1.757 Å, I = 56
- 2θ 62.16, d = 1.493 Å, I = 66



(8)
# Y2HoTm2Sc2
Computed powder XRD pattern, Cu Kα X-rays. Input: a cell relaxed with GGA-PBE.
Lines closer than 0.1° are merged.

Crystal structure
```
Y2HoTm2Sc2
1.0
5.6071 -1.7028 0.0000
5.6071 1.7028 0.0000
-3.7526 0.0000 10.8664
Y Ho Tm Sc
2 1 2 2
Cartesian
1.5800 0.0000 0.9522
5.8815 0.0000 9.9142
3.7308 0.0000 5.4332
-2.3385 0.0000 8.3269
9.8001 0.0000 2.5396
0.6810 0.0000 6.8849
6.7805 0.0000 3.9815
```

Principal peaks in the range 2θ = 5–70°, by angle:
- 2θ 16.04, d = 5.527 Å, I = 43
- 2θ 16.73, d = 5.300 Å, I = 40
- 2θ 29.53, d = 3.025 Å, I = 44
- 2θ 31.73, d = 2.820 Å, I = 81
- 2θ 32.05, d = 2.793 Å, I = 67
- 2θ 33.57, d = 2.669 Å, I = 100
- 2θ 34.24, d = 2.619 Å, I = 49
- 2θ 36.63, d = 2.453 Å, I = 69
- 2θ 39.43, d = 2.285 Å, I = 30
- 2θ 53.88, d = 1.702 Å, I = 53